1.
Theoretical powder X-ray diffraction pattern of Li2Fe3NiO8 for Cu Kα X-rays, from a DFT-relaxed cell (PBE+U, the Materials Project).
Intensities are scaled so that the largest is 100.

Structural model:
```
14
Lattice="2.8761 1.6605 4.8443 -2.8761 1.6605 4.8443 0.0000 -3.3210 4.8443" Properties=species:S:1:pos:R:3 pbc="T T T"
Li 0.0000 0.0000 1.7685
Li 0.0000 0.0000 12.7643
Fe -1.4380 -0.8303 4.8443
Fe -1.4380 0.8302 9.6885
Fe 0.0000 1.6605 4.8443
Ni 0.0000 0.0000 7.2664
O 0.0000 -1.5189 5.8791
O -1.3154 0.7594 5.8791
O 0.0000 0.0000 3.8059
O -1.3154 -0.7594 8.6537
O 1.3154 0.7594 5.8791
O 0.0000 0.0000 10.7269
O 1.3154 -0.7594 8.6537
O 0.0000 1.5189 8.6537
```

Principal peaks in the range 10° ≤ 2θ ≤ 90°, by angle:
| two_theta | d (Å) | I (rel.) |
| --- | --- | --- |
| 18.3 | 4.844 | 41 |
| 18.8 | 4.712 | 100 |
| 35.8 | 2.510 | 17 |
| 36.3 | 2.473 | 37 |
| 36.6 | 2.455 | 13 |
| 38.2 | 2.356 | 13 |
| 44.1 | 2.054 | 75 |
| 58.4 | 1.580 | 11 |
| 63.4 | 1.468 | 22 |
| 64.8 | 1.438 | 22 |

---

2.
Theoretical powder X-ray diffraction pattern of LiFeNiO4 for Cu Kα X-rays, from a DFT-relaxed cell (PBE+U, the Materials Project).
Intensities are scaled so that the largest is 100.

Structural model:
```
14
Lattice="-2.8315 2.8719 4.3648 2.8315 -2.8719 4.3648 2.8315 2.8719 -4.3648" Properties=species:S:1:pos:R:3 pbc="T T T"
Li 0.0000 1.4360 1.1502
Li 2.8315 1.4360 3.2146
Fe 2.8315 0.0000 0.0000
Fe 0.0000 0.0000 4.3648
Ni 1.4158 1.4360 -2.1824
Ni 1.4158 -1.4360 2.1824
O 2.8315 -0.1675 2.0630
O 2.8315 2.7044 -2.0630
O 1.5449 1.4360 -0.0459
O 4.1181 1.4360 -0.0459
O -1.2866 1.4360 4.4107
O 1.2866 1.4360 4.4107
O 0.0000 0.1675 6.4278
O 0.0000 3.0394 2.3018
```

Principal peaks in the range 10° ≤ 2θ ≤ 90°, by angle:
| two_theta | d (Å) | I (rel.) |
| --- | --- | --- |
| 18.5 | 4.798 | 100 |
| 18.7 | 4.751 | 85 |
| 34.6 | 2.596 | 22 |
| 34.7 | 2.588 | 15 |
| 36.6 | 2.458 | 27 |
| 36.9 | 2.439 | 29 |
| 37.5 | 2.399 | 13 |
| 41.4 | 2.182 | 42 |
| 45.0 | 2.016 | 63 |
| 62.7 | 1.481 | 43 |

---

3.
Theoretical powder X-ray diffraction pattern of Li3Fe3NiO8 for Cu Kα X-rays, from a DFT-relaxed cell (PBE+U, the Materials Project).
Intensities are scaled so that the largest is 100.

Structural model:
```
15
Lattice="2.9512 1.7039 4.8756 -2.9512 1.7039 4.8756 0.0000 -3.4077 4.8756" Properties=species:S:1:pos:R:3 pbc="T T T"
Li -1.4756 -0.8519 4.8756
Li -1.4756 0.8519 9.7511
Li 0.0000 1.7039 4.8755
Fe -2.9512 0.0000 7.3133
Fe -1.4756 0.8519 2.4378
Fe 1.4756 0.8519 2.4378
Ni 0.0000 0.0000 7.3133
O 0.0000 0.0000 3.5503
O -1.3750 -0.7938 8.3675
O 0.0000 -1.5877 6.2592
O -1.3750 0.7938 6.2592
O 1.3750 -0.7938 8.3675
O 0.0000 1.5877 8.3675
O 1.3750 0.7938 6.2592
O 0.0000 0.0000 11.0764
```

Principal peaks in the range 10° ≤ 2θ ≤ 90°, by angle:
| two_theta | d (Å) | I (rel.) |
| --- | --- | --- |
| 18.2 | 4.876 | 100 |
| 35.7 | 2.518 | 39 |
| 37.3 | 2.413 | 12 |
| 43.2 | 2.095 | 67 |
| 47.2 | 1.925 | 13 |
| 56.9 | 1.618 | 15 |
| 62.5 | 1.487 | 18 |
| 63.0 | 1.476 | 18 |
| 66.2 | 1.412 | 14 |
| 79.4 | 1.206 | 8 |

---

4.
Theoretical powder X-ray diffraction pattern of Li2Fe3NiO8 for Cu Kα X-rays, from a DFT-relaxed cell (PBE+U, the Materials Project).
Intensities are scaled so that the largest is 100.

Structural model:
```
14
Lattice="2.9375 1.6959 4.8653 -2.9375 1.6959 4.8653 0.0000 -3.3919 4.8653" Properties=species:S:1:pos:R:3 pbc="T T T"
Li 0.0000 0.0000 0.0000
Li 0.0000 0.0000 5.5444
Fe 0.0000 -1.6662 2.4261
Fe -1.4430 0.8331 2.4261
Fe 1.4430 0.8331 2.4261
Ni 0.0000 0.0000 9.0561
O -1.5809 -0.9127 8.3366
O 0.0000 0.0000 3.5775
O 0.0000 -1.8514 6.2642
O -1.6034 0.9257 6.2642
O 1.5809 -0.9127 8.3366
O 0.0000 1.8255 8.3366
O 0.0000 0.0000 11.0319
O 1.6034 0.9257 6.2642
```

Principal peaks in the range 10° ≤ 2θ ≤ 90°, by angle:
| two_theta | d (Å) | I (rel.) |
| --- | --- | --- |
| 18.2 | 4.865 | 100 |
| 21.3 | 4.174 | 55 |
| 30.1 | 2.965 | 52 |
| 35.5 | 2.532 | 24 |
| 35.7 | 2.515 | 60 |
| 35.8 | 2.506 | 95 |
| 43.4 | 2.087 | 60 |
| 57.1 | 1.613 | 33 |
| 62.7 | 1.483 | 41 |
| 63.3 | 1.469 | 42 |

---

5.
Theoretical powder X-ray diffraction pattern of Li5Fe2Ni3O10 for Cu Kα X-rays, from a DFT-relaxed cell (PBE+U, the Materials Project).
Intensities are scaled so that the largest is 100.

Structural model:
```
20
Lattice="5.0832 0.0000 0.0000 0.7747 5.0406 0.0000 2.4490 2.1686 6.9873" Properties=species:S:1:pos:R:3 pbc="T T T"
Li 0.0000 0.0000 0.0000
Li 3.3003 3.7909 0.6394
Li 4.9694 6.0715 4.9527
Li 3.3375 1.1377 2.0346
Li 5.0065 3.4183 6.3479
Fe 0.8111 2.4286 1.3448
Fe 7.4958 4.7806 5.6425
Ni 1.6308 2.3014 4.2005
Ni 4.1534 3.6046 3.4937
Ni 6.6761 4.9078 2.7868
O 1.5913 0.5921 1.1850
O 3.1727 2.9326 5.1508
O 2.4191 3.0043 2.5498
O 3.1710 5.4106 3.8045
O 4.0461 5.2463 6.6309
O 4.2608 1.9629 0.3565
O 5.1358 1.7986 3.1828
O 5.8878 4.2049 4.4375
O 5.1342 4.2766 1.8365
O 6.7156 6.6171 5.8023
```

Principal peaks in the range 10° ≤ 2θ ≤ 90°, by angle:
| two_theta | d (Å) | I (rel.) |
| --- | --- | --- |
| 12.7 | 6.987 | 75 |
| 18.4 | 4.814 | 100 |
| 23.1 | 3.850 | 16 |
| 26.7 | 3.336 | 19 |
| 37.6 | 2.394 | 31 |
| 43.1 | 2.097 | 55 |
| 43.7 | 2.072 | 50 |
| 44.0 | 2.060 | 49 |
| 63.0 | 1.476 | 15 |
| 63.2 | 1.472 | 16 |